Record 1
Ti3V3Si5: calculated powder XRD pattern (Cu Kα), based on DFT lattice parameters and positions (PBE).

Cell and atoms:
```
data_Ti3V3Si5
_chemical_formula_sum 'Ti12 V12 Si20'
_space_group_name_H-M_alt 'I m m m'
_space_group_IT_number 71
_space_group_name_Hall '-I 2 2'
_cell_length_a 5.1082
_cell_length_b 8.0516
_cell_length_c 15.4835
_cell_angle_alpha 90.00
_cell_angle_beta 90.00
_cell_angle_gamma 90.00
loop_
_atom_site_label
_atom_site_type_symbol
_atom_site_fract_x
_atom_site_fract_y
_atom_site_fract_z
Ti1 Ti 0.0000 0.0000 0.1497
Ti2 Ti 0.2500 0.2500 0.2500
V1 V 0.0000 0.2788 0.4163
V2 V 0.2423 0.0000 0.5000
Si1 Si 0.0000 0.0000 0.3410
Si2 Si 0.0000 0.3114 0.1019
Si3 Si 0.0000 0.5000 0.3006
Si4 Si 0.2402 0.0000 0.0000
```

The 8 most intense peaks (2θ from 15° to 90°), sorted by position:
- 2θ = 37.85°, rel. 29, hkl 1 3 0
- 2θ = 40.76°, rel. 23, hkl 1 1 6
- 2θ = 41.57°, rel. 100, hkl 0 2 6
- 2θ = 42.40°, rel. 70, hkl 2 0 4
- 2θ = 43.56°, rel. 98, hkl 2 2 2
- 2θ = 45.04°, rel. 35, hkl 0 4 0
- 2θ = 63.57°, rel. 25, hkl 2 4 4
- 2θ = 75.60°, rel. 20, hkl 2 2 10


Record 2
Mg14FeB: calculated powder XRD pattern (Cu Kα), based on DFT lattice parameters and positions (PBE).

Cell and atoms:
```
data_Mg14FeB
_chemical_formula_sum 'Mg14 Fe1 B1'
_space_group_name_H-M_alt 'P -6 m 2'
_space_group_IT_number 187
_space_group_name_Hall 'P -6 2'
_cell_length_a 6.1738
_cell_length_b 6.1738
_cell_length_c 9.8366
_cell_angle_alpha 90.00
_cell_angle_beta 90.00
_cell_angle_gamma 120.00
loop_
_atom_site_label
_atom_site_type_symbol
_atom_site_fract_x
_atom_site_fract_y
_atom_site_fract_z
Mg1 Mg 0.0000 0.0000 0.2467
Mg2 Mg 0.0162 0.5081 0.2523
Mg3 Mg 0.3328 0.1664 0.5000
Mg4 Mg 0.3355 0.1678 0.0000
Fe1 Fe 0.3333 0.6667 0.0000
B1 B 0.3333 0.6667 0.5000
```

The 8 most intense peaks (2θ from 15° to 90°), sorted by position:
- 2θ = 33.52°, rel. 25, hkl 2 0 0
- 2θ = 36.54°, rel. 26, hkl 0 0 4
- 2θ = 38.32°, rel. 100, hkl 2 0 2
- 2θ = 50.42°, rel. 15, hkl 2 0 4
- 2θ = 59.93°, rel. 17, hkl 2 2 0
- 2θ = 66.96°, rel. 18, hkl 2 0 6
- 2θ = 72.27°, rel. 18, hkl 2 2 4
- 2θ = 73.41°, rel. 13, hkl 4 0 2


Record 3
SrGd2O4: calculated powder XRD pattern (Cu Kα), based on DFT lattice parameters and positions (PBE).

Cell and atoms:
```
data_SrGd2O4
_chemical_formula_sum 'Sr4 Gd8 O16'
_space_group_name_H-M_alt 'P n m a'
_space_group_IT_number 62
_cell_length_a 10.2520
_cell_length_b 3.4868
_cell_length_c 12.1505
_cell_angle_alpha 90.00
_cell_angle_beta 90.00
_cell_angle_gamma 90.00
loop_
_space_group_symop_operation_xyz
'x,y,z'
'-x,-y,-z'
'-x+1/2,-y,z+1/2'
'x+1/2,y,-z+1/2'
'x+1/2,-y+1/2,-z+1/2'
'-x+1/2,y+1/2,z+1/2'
'-x,y+1/2,-z'
'x,-y+1/2,z'
loop_
_atom_site_label
_atom_site_type_symbol
_atom_site_fract_x
_atom_site_fract_y
_atom_site_fract_z
Sr1 Sr 0.2473 0.2500 0.1483
Gd1 Gd 0.0763 0.2500 0.8883
Gd2 Gd 0.0793 0.2500 0.3879
O1 O 0.0119 0.7500 0.7842
O2 O 0.0743 0.2500 0.5784
O3 O 0.1280 0.7500 0.0201
O4 O 0.2127 0.7500 0.3212
```

The 8 most intense peaks (2θ from 15° to 90°), sorted by position:
- 2θ = 29.40°, rel. 49, hkl 0 0 4
- 2θ = 30.00°, rel. 100, hkl 3 0 2
- 2θ = 30.83°, rel. 87, hkl 1 1 2
- 2θ = 31.02°, rel. 42, hkl 2 1 0
- 2θ = 43.27°, rel. 43, hkl 2 1 4
- 2θ = 43.84°, rel. 25, hkl 4 1 0
- 2θ = 52.51°, rel. 35, hkl 0 2 0
- 2θ = 61.65°, rel. 29, hkl 3 2 2


Record 4
ZnBi: calculated powder XRD pattern (Cu Kα), based on DFT lattice parameters and positions (PBE).

Cell and atoms:
```
data_ZnBi
_chemical_formula_sum 'Zn2 Bi2'
_space_group_name_H-M_alt 'P 63 m c'
_space_group_IT_number 186
_space_group_name_Hall 'P 6c -2c'
_cell_length_a 4.7065
_cell_length_b 4.7065
_cell_length_c 6.3554
_cell_angle_alpha 90.00
_cell_angle_beta 90.00
_cell_angle_gamma 120.00
loop_
_atom_site_label
_atom_site_type_symbol
_atom_site_fract_x
_atom_site_fract_y
_atom_site_fract_z
Zn1 Zn 0.3333 0.6667 0.0000
Bi1 Bi 0.3333 0.6667 0.4568
```

The 8 most intense peaks (2θ from 15° to 90°), sorted by position:
- 2θ = 21.80°, rel. 100, hkl 1 0 0
- 2θ = 25.97°, rel. 96, hkl 1 0 1
- 2θ = 28.08°, rel. 68, hkl 0 0 2
- 2θ = 35.83°, rel. 55, hkl 1 0 2
- 2θ = 38.25°, rel. 97, hkl 1 1 0
- 2θ = 48.11°, rel. 96, hkl 1 1 2
- 2θ = 48.42°, rel. 27, hkl 1 0 3
- 2θ = 71.67°, rel. 25, hkl 1 1 4


- What is the formula in the first record?
  Ti3V3Si5


- Which formula does entry 4 have?
  ZnBi